The following is a theoretical powder X-ray diffraction pattern of Cr3N. It was derived from a structure optimized by DFT (PBE), using Cu Kα (weighted mean of Kα1 and Kα2).
Peak positions follow from Bragg's law for the DFT cell and can differ from measured ones.

Main lines, in order of rising 2θ (5° ≤ 2θ ≤ 70°):
2theta  d [Å]  I (rel.)
30.18  2.961  2
38.53  2.336  18
41.58  2.172  23
44.01  2.058  100
44.79  2.023  1
47.51  1.914  1
57.97  1.591  17
64.60  1.443  1
69.71  1.349  16

Structure:
```
8
Lattice="4.673 0.000 0.000 -2.336 4.047 0.000 0.000 0.000 4.344" Properties=species:S:1:pos:R:3 pbc="T T T"
Cr -0.757 1.310 0.000
Cr -1.580 2.736 2.172
Cr 1.513 0.000 0.000
Cr 0.757 1.310 2.172
Cr 3.160 0.000 2.172
Cr 1.580 2.736 0.000
N 0.000 2.698 1.086
N 2.336 1.349 3.258
```

=====

The following is a theoretical powder X-ray diffraction pattern of La2DyPa2Ru5. It was derived from a structure optimized by DFT (PBE), using Cu Kα (weighted mean of Kα1 and Kα2).
Peak positions follow from Bragg's law for the DFT cell and can differ from measured ones.

Main lines, in order of rising 2θ (5° ≤ 2θ ≤ 70°):
2theta  d [Å]  I (rel.)
17.68  5.018  26
25.10  3.548  29
33.90  2.645  32
34.41  2.606  24
35.79  2.509  20
36.28  2.476  100
38.94  2.313  15
41.45  2.178  30
52.97  1.729  15
69.33  1.355  22

Structure:
```
20
Lattice="11.220 0.000 0.000 0.000 11.220 0.000 0.000 0.000 3.458" Properties=species:S:1:pos:R:3 pbc="T T T"
La 1.875 3.735 0.000
La 3.735 9.345 0.000
La 7.485 1.875 0.000
La 9.345 7.485 0.000
Dy 0.000 0.000 0.000
Dy 5.610 5.610 0.000
Pa 1.633 7.243 0.000
Pa 3.977 1.633 0.000
Pa 7.243 9.588 0.000
Pa 9.588 3.977 0.000
Ru 0.000 5.610 1.729
Ru 0.496 8.801 1.729
Ru 2.420 0.496 1.729
Ru 3.191 6.107 1.729
Ru 5.114 3.191 1.729
Ru 5.610 0.000 1.729
Ru 6.107 8.030 1.729
Ru 8.030 5.114 1.729
Ru 8.801 10.724 1.729
Ru 10.724 2.420 1.729
```

=====

The following is a theoretical powder X-ray diffraction pattern of MgU2Si2H4O12. It was derived from a structure optimized by DFT (PBE), using Cu Kα (weighted mean of Kα1 and Kα2).
Peak positions follow from Bragg's law for the DFT cell and can differ from measured ones.

Main lines, in order of rising 2θ (5° ≤ 2θ ≤ 70°):
2theta  d [Å]  I (rel.)
11.74  7.541  100
13.45  6.581  29
18.98  4.675  16
20.44  4.346  20
23.60  3.770  15
24.16  3.683  15
26.36  3.381  23
28.94  3.085  15
29.82  2.996  20
32.54  2.751  22

Structure:
```
21
Lattice="7.664 -3.381 0.000 7.664 3.381 0.000 -1.195 0.000 6.581" Properties=species:S:1:pos:R:3 pbc="T T T"
Mg 0.000 0.000 0.000
U 2.599 0.000 5.584
U 11.535 0.000 0.997
Si 2.507 0.000 1.934
Si 11.627 0.000 4.647
H 6.080 0.783 0.946
H 8.053 0.783 5.635
H 6.080 -0.783 0.946
H 8.053 -0.783 5.635
O 3.301 1.250 1.132
O 0.943 0.000 1.672
O 0.667 0.000 5.534
O 2.945 0.000 3.516
O 6.030 0.000 0.360
O 3.301 -1.250 1.132
O 10.833 1.250 5.449
O 8.103 0.000 6.221
O 11.188 0.000 3.064
O 13.466 0.000 1.046
O 13.190 0.000 4.909
O 10.833 -1.250 5.449
```

=====

The following is a theoretical powder X-ray diffraction pattern of Pr3Zn9Ga2. It was derived from a structure optimized by DFT (PBE), using Cu Kα (weighted mean of Kα1 and Kα2).
Peak positions follow from Bragg's law for the DFT cell and can differ from measured ones.

Main lines, in order of rising 2θ (5° ≤ 2θ ≤ 70°):
2theta  d [Å]  I (rel.)
28.49  3.133  17
33.45  2.679  16
34.55  2.596  100
35.24  2.547  48
35.55  2.525  24
37.90  2.374  20
40.18  2.244  40
41.26  2.188  22
58.95  1.567  15
67.55  1.387  24

Structure:
```
14
Lattice="-2.244 4.638 6.564 2.244 -4.638 6.564 2.244 4.638 -6.564" Properties=species:S:1:pos:R:3 pbc="T T T"
Pr 0.000 0.000 0.000
Pr 0.000 0.000 3.975
Pr 0.000 0.000 9.153
Zn 2.244 -1.257 2.087
Zn 2.244 -2.070 4.684
Zn 2.244 1.257 2.087
Zn 0.000 2.568 1.880
Zn 0.000 4.638 0.000
Zn 2.244 2.070 4.684
Zn 0.000 3.381 4.477
Zn 0.000 6.708 1.880
Zn 0.000 5.894 4.477
Ga 2.244 2.758 0.000
Ga 0.000 1.880 6.564
```

=====

The following is a theoretical powder X-ray diffraction pattern of La6Sn2IrN. It was derived from a structure optimized by DFT (PBE), using Cu Kα (weighted mean of Kα1 and Kα2).
Peak positions follow from Bragg's law for the DFT cell and can differ from measured ones.

Main lines, in order of rising 2θ (5° ≤ 2θ ≤ 70°):
2theta  d [Å]  I (rel.)
16.59  5.345  21
23.54  3.779  10
27.68  3.223  16
28.93  3.086  91
33.53  2.672  100
36.64  2.452  15
37.63  2.390  9
48.15  1.890  71
57.16  1.611  38
59.96  1.543  24

Structure:
```
10
Lattice="-3.780 3.780 5.342 3.780 -3.780 5.342 3.780 3.780 -5.342" Properties=species:S:1:pos:R:3 pbc="T T T"
La 1.797 1.797 0.000
La 1.984 -1.984 5.342
La 0.000 0.000 2.551
La 0.000 0.000 8.133
La -1.984 1.984 5.342
La 1.984 1.984 5.342
Sn 3.780 0.000 2.671
Sn 0.000 3.780 2.671
Ir 0.000 0.000 5.342
N 0.000 0.000 0.000
```

=====

The following is a theoretical powder X-ray diffraction pattern of LiGe2. It was derived from a structure optimized by DFT (PBE), using Cu Kα (weighted mean of Kα1 and Kα2).
Peak positions follow from Bragg's law for the DFT cell and can differ from measured ones.

Main lines, in order of rising 2θ (5° ≤ 2θ ≤ 70°):
2theta  d [Å]  I (rel.)
20.69  4.293  50
27.25  3.273  45
35.88  2.503  74
40.53  2.226  100
41.77  2.162  32
51.64  1.770  26
56.21  1.636  13
59.36  1.557  10
59.86  1.545  18
67.63  1.385  43

Structure:
```
6
Lattice="3.540 0.000 0.000 0.000 3.540 0.000 0.000 0.000 8.587" Properties=species:S:1:pos:R:3 pbc="T T T"
Li 0.000 0.000 0.000
Li 1.770 1.770 4.293
Ge 0.000 0.000 2.755
Ge 0.000 0.000 5.832
Ge 1.770 1.770 1.538
Ge 1.770 1.770 7.048
```

=====

The following is a theoretical powder X-ray diffraction pattern of PrP3Os3. It was derived from a structure optimized by DFT (PBE), using Cu Kα (weighted mean of Kα1 and Kα2).
Peak positions follow from Bragg's law for the DFT cell and can differ from measured ones.

Main lines, in order of rising 2θ (5° ≤ 2θ ≤ 70°):
2theta  d [Å]  I (rel.)
27.63  3.229  43
30.97  2.888  95
34.01  2.636  100
48.86  1.864  24
50.99  1.791  25
53.06  1.726  56
57.05  1.614  28
64.54  1.444  16
66.34  1.409  23
68.11  1.377  13

Structure:
```
14
Lattice="6.457 0.000 0.000 0.000 6.457 0.000 0.000 0.000 6.457" Properties=species:S:1:pos:R:3 pbc="T T T"
Pr 0.000 0.000 0.000
Pr 3.229 3.229 3.229
P 0.000 1.614 3.229
P 0.000 4.843 3.229
P 1.614 3.229 0.000
P 3.229 0.000 1.614
P 3.229 0.000 4.843
P 4.843 3.229 0.000
Os 0.000 3.229 1.614
Os 0.000 3.229 4.843
Os 1.614 0.000 3.229
Os 3.229 1.614 0.000
Os 3.229 4.843 0.000
Os 4.843 0.000 3.229
```

=====

The following is a theoretical powder X-ray diffraction pattern of Ho2HfNi9. It was derived from a structure optimized by DFT (PBE), using Cu Kα (weighted mean of Kα1 and Kα2).
Peak positions follow from Bragg's law for the DFT cell and can differ from measured ones.

Main lines, in order of rising 2θ (5° ≤ 2θ ≤ 70°):
2theta  d [Å]  I (rel.)
34.89  2.572  66
36.92  2.435  43
42.89  2.109  11
43.32  2.089  100
44.65  2.030  17
46.21  1.965  15
50.44  1.809  9
65.21  1.431  21
68.48  1.370  13
69.64  1.350  11

Structure:
```
24
Lattice="4.870 0.000 0.000 -2.435 4.217 0.000 0.000 0.000 16.223" Properties=species:S:1:pos:R:3 pbc="T T T"
Ho 0.000 2.812 0.712
Ho 0.000 2.812 7.400
Ho 2.435 1.406 8.824
Ho 2.435 1.406 15.511
Hf 0.000 2.812 4.056
Hf 2.435 1.406 12.168
Ni 0.000 0.000 0.000
Ni 0.000 0.000 4.056
Ni 0.000 0.000 8.112
Ni 0.000 0.000 12.168
Ni 0.000 1.408 10.193
Ni 0.000 1.408 14.142
Ni -1.216 3.514 10.193
Ni -1.216 3.514 14.142
Ni 0.000 2.812 12.168
Ni 1.219 0.704 2.081
Ni 1.219 0.704 6.031
Ni 1.216 3.514 10.193
Ni 1.216 3.514 14.142
Ni 2.435 1.406 4.056
Ni 3.651 0.704 2.081
Ni 3.651 0.704 6.031
Ni 2.435 2.810 2.081
Ni 2.435 2.810 6.031
```

=====

The following is a theoretical powder X-ray diffraction pattern of TbNdCu10. It was derived from a structure optimized by DFT (PBE), using Cu Kα (weighted mean of Kα1 and Kα2).
Peak positions follow from Bragg's law for the DFT cell and can differ from measured ones.

Main lines, in order of rising 2θ (5° ≤ 2θ ≤ 70°):
2theta  d [Å]  I (rel.)
29.74  3.004  68
35.19  2.550  15
35.44  2.533  30
40.95  2.204  35
41.25  2.189  17
41.67  2.167  51
41.89  2.157  100
44.04  2.056  41
61.70  1.503  20
67.73  1.383  22

Structure:
```
12
Lattice="4.113 0.000 0.000 0.000 5.101 0.000 0.000 0.000 8.755" Properties=species:S:1:pos:R:3 pbc="T T T"
Tb 0.000 0.000 0.000
Nd 0.000 2.550 4.378
Cu 0.000 0.000 2.893
Cu 0.000 0.000 5.862
Cu 0.000 2.550 1.429
Cu 0.000 2.550 7.326
Cu 2.056 0.000 4.378
Cu 2.056 1.266 2.162
Cu 2.056 1.266 6.593
Cu 2.056 2.550 0.000
Cu 2.056 3.835 2.162
Cu 2.056 3.835 6.593
```

=====

The following is a theoretical powder X-ray diffraction pattern of ZrAl2Cu3. It was derived from a structure optimized by DFT (PBE), using Cu Kα (weighted mean of Kα1 and Kα2).
Peak positions follow from Bragg's law for the DFT cell and can differ from measured ones.

Main lines, in order of rising 2θ (5° ≤ 2θ ≤ 70°):
2theta  d [Å]  I (rel.)
22.32  3.983  6
30.19  2.960  99
35.14  2.554  11
40.80  2.212  88
42.03  2.150  100
45.55  1.991  35
46.99  1.934  30
60.01  1.542  26
62.79  1.480  45
67.77  1.383  23

Structure:
```
6
Lattice="5.108 0.000 0.000 -2.554 4.424 0.000 0.000 0.000 3.983" Properties=species:S:1:pos:R:3 pbc="T T T"
Zr 0.000 0.000 0.000
Al 0.000 2.949 0.000
Al 2.554 1.475 0.000
Cu -1.277 2.212 1.991
Cu 2.554 0.000 1.991
Cu 1.277 2.212 1.991
```

=====

The following is a theoretical powder X-ray diffraction pattern of InSn2Pb8. It was derived from a structure optimized by DFT (PBE), using Cu Kα (weighted mean of Kα1 and Kα2).
Peak positions follow from Bragg's law for the DFT cell and can differ from measured ones.

Main lines, in order of rising 2θ (5° ≤ 2θ ≤ 70°):
2theta  d [Å]  I (rel.)
31.19  2.868  100
31.32  2.856  99
35.48  2.530  36
36.55  2.459  33
36.68  2.450  33
51.86  1.763  25
51.96  1.760  25
61.09  1.517  31
62.40  1.488  14
62.60  1.484  28

Structure:
```
11
Lattice="8.831 -2.530 0.000 8.831 2.530 0.000 -1.997 0.000 7.503" Properties=species:S:1:pos:R:3 pbc="T T T"
In 0.000 0.000 0.000
Sn 4.049 0.000 2.760
Sn 11.616 0.000 4.743
Pb 0.759 0.000 3.412
Pb 1.398 0.000 6.817
Pb 4.779 0.000 6.133
Pb 7.471 0.000 2.035
Pb 8.194 0.000 5.468
Pb 10.886 0.000 1.370
Pb 14.267 0.000 0.686
Pb 14.906 0.000 4.091
```

=====

The following is a theoretical powder X-ray diffraction pattern of DyIn2Ni9. It was derived from a structure optimized by DFT (PBE), using Cu Kα (weighted mean of Kα1 and Kα2).
Peak positions follow from Bragg's law for the DFT cell and can differ from measured ones.

Main lines, in order of rising 2θ (5° ≤ 2θ ≤ 70°):
2theta  d [Å]  I (rel.)
34.39  2.608  26
35.96  2.497  23
37.17  2.419  18
39.25  2.295  100
43.37  2.086  28
43.78  2.068  36
44.81  2.023  66
45.34  2.000  29
68.40  1.371  18
69.98  1.344  16

Structure:
```
24
Lattice="8.247 0.000 0.000 0.000 8.247 0.000 0.000 0.000 4.837" Properties=species:S:1:pos:R:3 pbc="T T T"
Dy 0.000 0.000 0.000
Dy 4.123 4.123 0.000
In 1.029 3.094 0.000
In 3.094 7.217 0.000
In 5.153 1.029 0.000
In 7.217 5.153 0.000
Ni 0.000 4.123 2.419
Ni 0.528 1.699 2.419
Ni 1.455 5.578 1.204
Ni 1.455 5.578 3.634
Ni 1.699 7.719 2.419
Ni 2.425 3.596 2.419
Ni 2.668 1.455 1.204
Ni 2.668 1.455 3.634
Ni 3.596 5.822 2.419
Ni 4.123 0.000 2.419
Ni 4.651 2.425 2.419
Ni 5.578 6.792 1.204
Ni 5.578 6.792 3.634
Ni 5.822 4.651 2.419
Ni 6.548 0.528 2.419
Ni 6.792 2.668 1.204
Ni 6.792 2.668 3.634
Ni 7.719 6.548 2.419
```